The following is a calculated XRD peak list of BaSrTm4O8. It was derived from a crystal structure in Alexandria, relaxed with GGA-PBE, using Cu Kα (weighted mean of Kα1 and Kα2).
Intensities are scaled so that the largest is 100.

Main lines, sorted by position (10° ≤ 2θ ≤ 90°):
2θ/deg, I/Imax
29.9, 40.2
30.1, 85.2
31.5, 100.0
44.0, 27.5
54.3, 20.3
63.0, 21.6

Atomic structure:
a = 3.3997 Å, b = 11.9688 Å, c = 10.2412 Å
α = 90.00°, β = 90.00°, γ = 90.00°
Atoms (fractional coordinates):
Ba: 0.0000 0.0994 0.0000
Ba: 0.0000 0.9006 0.5000
Sr: 0.5000 0.3987 0.5077
Sr: 0.5000 0.6013 0.0077
Tm: 0.0000 0.1434 0.3280
Tm: 0.0000 0.3621 0.8312
Tm: 0.0000 0.6379 0.3312
Tm: 0.0000 0.8566 0.8280
Tm: 0.5000 0.1449 0.6747
Tm: 0.5000 0.3658 0.1819
Tm: 0.5000 0.6342 0.6819
Tm: 0.5000 0.8551 0.1747
O: 0.0000 0.0339 0.7338
O: 0.0000 0.2736 0.6335
O: 0.0000 0.3295 0.3303
O: 0.0000 0.4182 0.0447
O: 0.0000 0.5818 0.5447
O: 0.0000 0.6705 0.8303
O: 0.0000 0.7264 0.1335
O: 0.0000 0.9661 0.2338
O: 0.5000 0.0944 0.4629
O: 0.5000 0.1802 0.1854
O: 0.5000 0.2350 0.8684
O: 0.5000 0.4671 0.7718
O: 0.5000 0.5329 0.2718
O: 0.5000 0.7650 0.3684
O: 0.5000 0.8198 0.6854
O: 0.5000 0.9056 0.9629